Record 1
Diffraction record for TiAl2O5. The X-ray diffraction stick pattern is simulated, not measured: it uses a cell relaxed with GGA-PBE and CuKα.

Crystal structure
Lattice parameters (Å, degrees): 3.660 9.627 5.102 90.00 110.96 90.00
Space group P2_1 (No. 4)
Unique sites:
Ti  0.126  0.000  0.255 [2 per cell]
Al  0.143  0.369  0.284 [2 per cell]
Al  0.191  0.693  0.379 [2 per cell]
O  0.044  0.818  0.088 [2 per cell]
O  0.061  0.550  0.117 [2 per cell]
O  0.245  0.192  0.492 [2 per cell]
O  0.308  0.863  0.616 [2 per cell]
O  0.318  0.517  0.633 [2 per cell]

Principal peaks in the range 10 to 90 degrees two-theta, by angle:
- hkl 0 2 0, 18.43°, intensity 20
- hkl 0 0 1, 18.62°, intensity 32
- hkl 0 1 1, 20.80°, intensity 12
- hkl 1 0 -1, 26.08°, intensity 100
- hkl 0 3 1, 33.67°, intensity 68
- hkl 0 2 2, 42.33°, intensity 19
- hkl 0 3 2, 47.54°, intensity 24
- hkl 2 0 -1, 49.83°, intensity 37
- hkl 0 6 0, 57.43°, intensity 14
- hkl 1 2 2, 57.81°, intensity 16
- hkl 2 3 -2, 61.49°, intensity 22
- hkl 2 3 -3, 71.34°, intensity 13

***

Record 2
Diffraction record for Li4Ga4P4O17F3. The X-ray diffraction stick pattern is simulated, not measured: it uses a cell relaxed with GGA-PBE and CuKα.

Crystal structure
Lattice parameters (Å, degrees): 6.834 7.454 7.645 116.41 90.82 90.69
Space group P1 (No. 1)
Unique sites:
Li  0.000  0.000  0.000 [1 per cell]
Li  0.189  0.365  0.938 [1 per cell]
Li  0.501  0.497  0.501 [1 per cell]
Li  0.691  0.870  0.441 [1 per cell]
Ga  0.093  0.183  0.468 [1 per cell]
Ga  0.346  0.932  0.720 [1 per cell]
Ga  0.600  0.680  0.972 [1 per cell]
Ga  0.843  0.437  0.216 [1 per cell]
P  0.241  0.715  0.264 [1 per cell]
P  0.447  0.150  0.175 [1 per cell]
P  0.741  0.215  0.761 [1 per cell]
P  0.950  0.648  0.674 [1 per cell]
O  0.072  0.467  0.650 [1 per cell]
O  0.081  0.828  0.693 [1 per cell]
O  0.112  0.534  0.244 [1 per cell]
O  0.118  0.896  0.288 [1 per cell]
O  0.295  0.095  0.002 [1 per cell]
O  0.338  0.238  0.372 [1 per cell]
O  0.349  0.626  0.066 [1 per cell]
O  0.393  0.772  0.436 [1 per cell]
O  0.569  0.969  0.147 [1 per cell]
O  0.579  0.329  0.195 [1 per cell]
O  0.611  0.034  0.743 [1 per cell]
O  0.619  0.395  0.785 [1 per cell]
O  0.740  0.660  0.183 [1 per cell]
O  0.796  0.592  0.504 [1 per cell]
O  0.844  0.740  0.874 [1 per cell]
O  0.850  0.125  0.564 [1 per cell]
O  0.894  0.267  0.933 [1 per cell]
F  0.245  0.161  0.682 [1 per cell]
F  0.447  0.703  0.757 [1 per cell]
F  0.944  0.205  0.255 [1 per cell]

Principal peaks in the range 10 to 90 degrees two-theta, by angle:
- hkl 1 0 -1, 18.14°, intensity 63
- hkl 1 0 1, 18.55°, intensity 27
- hkl 1 1 0, 18.78°, intensity 85
- hkl 0 1 1, 22.36°, intensity 42
- hkl 0 2 0, 26.68°, intensity 29
- hkl 1 -1 2, 26.93°, intensity 76
- hkl 1 -2 1, 27.15°, intensity 100
- hkl 2 1 -1, 29.62°, intensity 96
- hkl 0 1 -3, 35.46°, intensity 26
- hkl -1 1 2, 36.52°, intensity 59
- hkl 1 2 1, 37.57°, intensity 24
- hkl -2 3 1, 55.09°, intensity 26

***

Record 3
Diffraction record for LaTi6O12. The X-ray diffraction stick pattern is simulated, not measured: it uses a cell relaxed with GGA-PBE and CuKα.

Crystal structure
Lattice parameters (Å, degrees): 13.889 8.988 9.789 90.00 132.92 90.00
Space group C2/m (No. 12)
Unique sites:
La  0.000  0.231  0.000 [4 per cell]
Ti  0.145  0.165  0.471 [8 per cell]
Ti  0.145  0.500  0.466 [4 per cell]
Ti  0.167  0.335  0.815 [8 per cell]
Ti  0.171  0.000  0.821 [4 per cell]
O  0.045  0.500  0.721 [4 per cell]
O  0.046  0.167  0.730 [8 per cell]
O  0.150  0.000  0.607 [4 per cell]
O  0.150  0.329  0.330 [8 per cell]
O  0.151  0.334  0.606 [8 per cell]
O  0.153  0.000  0.337 [4 per cell]
O  0.192  0.330  0.051 [8 per cell]
O  0.195  0.000  0.053 [4 per cell]

Principal peaks in the range 10 to 90 degrees two-theta, by angle:
- hkl 0 2 0, 19.76°, intensity 38
- hkl 0 2 1, 23.36°, intensity 53
- hkl 2 2 -1, 23.59°, intensity 53
- hkl 2 2 0, 26.47°, intensity 40
- hkl 2 2 -2, 26.94°, intensity 39
- hkl 2 0 1, 27.56°, intensity 43
- hkl 4 0 -1, 28.14°, intensity 97
- hkl 2 0 -3, 28.47°, intensity 100
- hkl 4 0 -3, 29.02°, intensity 39
- hkl 3 3 -1, 36.12°, intensity 51
- hkl 3 3 0, 40.16°, intensity 41
- hkl 5 3 -4, 49.13°, intensity 33

***

Record 4
Diffraction record for MnSe. The X-ray diffraction stick pattern is simulated, not measured: it uses a cell relaxed with GGA-PBE and CuKα.

Crystal structure
Lattice parameters (Å, degrees): 5.411 5.411 5.411 90.00 90.00 90.00
Space group Fm-3m (No. 225)
Unique sites:
Mn  0.000  0.000  0.000 [4 per cell]
Se  0.000  0.000  0.500 [4 per cell]

Principal peaks in the range 10 to 90 degrees two-theta, by angle:
- hkl 1 1 1, 28.57°, intensity 6
- hkl 2 0 0, 33.11°, intensity 100
- hkl 2 2 0, 47.53°, intensity 70
- hkl 3 1 1, 56.40°, intensity 3
- hkl 2 2 2, 59.15°, intensity 23
- hkl 4 0 0, 69.49°, intensity 11
- hkl 3 3 1, 76.79°, intensity 1
- hkl 4 2 0, 79.16°, intensity 29
- hkl 4 2 2, 88.53°, intensity 22